Theoretical XRD peak list
Compound: Li2GaAg7
Radiation: Cu Ka
Structure: DFT lattice parameters and positions (GGA-PBE)

Most intense lines, 10 to 90 degrees two-theta, by angle:
| h k l | two_theta | I/Imax |
| --- | --- | --- |
| 1 1 0 | 13.63 | 61 |
| 0 0 1 | 19.93 | 38 |
| 1 3 0 | 23.59 | 59 |
| 0 2 1 | 24.18 | 72 |
| 2 0 1 | 31.23 | 78 |
| 0 4 1 | 33.98 | 56 |
| 2 4 0 | 36.47 | 68 |
| 0 0 2 | 40.50 | 60 |
| 1 5 1 | 41.78 | 100 |
| 3 1 1 | 42.10 | 95 |

abc: 7.4803 13.0989 4.4546
angles: 90.00 90.00 90.00
Space group Cmmm (No. 65)
Inequivalent atoms, fractional coordinates:
Li1 0.0000 0.1997 0.0000 (multiplicity 4)
Ga1 0.0000 0.5000 0.5000 (multiplicity 2)
Ag1 0.0000 0.0000 0.0000 (multiplicity 2)
Ag2 0.0000 0.2981 0.5000 (multiplicity 4)
Ag3 0.1855 0.3886 0.0000 (multiplicity 8)

Theoretical XRD peak list
Compound: SrGa4Ag4
Radiation: Cu Ka
Structure: DFT lattice parameters and positions (GGA-PBE)

Most intense lines, 10 to 90 degrees two-theta, by angle:
| h k l | two_theta | I/Imax |
| --- | --- | --- |
| 1 0 1 | 16.94 | 24 |
| 1 0 3 | 32.20 | 21 |
| 2 1 1 | 33.04 | 100 |
| 2 2 0 | 40.24 | 41 |
| 2 0 3 | 40.76 | 71 |
| 1 0 4 | 41.45 | 28 |
| 3 0 1 | 43.95 | 16 |
| 4 0 0 | 58.21 | 19 |
| 3 2 4 | 66.76 | 20 |
| 4 2 3 | 73.49 | 17 |

abc: 6.3392 6.3392 9.2796
angles: 90.00 90.00 90.00
Space group P4_2/nmc (No. 137, origin choice 2)
Inequivalent atoms, fractional coordinates:
Sr1 0.2500 0.7500 0.2500 (multiplicity 2)
Ga1 0.0424 0.2500 0.0567 (multiplicity 8)
Ag1 0.0241 0.2500 0.3439 (multiplicity 8)

Theoretical XRD peak list
Compound: AcHoPt
Radiation: Cu Ka
Structure: DFT lattice parameters and positions (GGA-PBE)

Most intense lines, 10 to 90 degrees two-theta, by angle:
| h k l | two_theta | I/Imax |
| --- | --- | --- |
| 2 0 0 | 25.62 | 46 |
| 2 0 1 | 28.45 | 86 |
| 1 1 -2 | 30.56 | 99 |
| 2 0 2 | 35.72 | 61 |
| 2 2 0 | 36.55 | 100 |
| 1 1 3 | 41.51 | 39 |
| 3 1 -2 | 48.36 | 57 |
| 4 0 0 | 52.65 | 36 |
| 1 3 3 | 56.47 | 24 |
| 4 2 2 | 65.26 | 22 |

abc: 6.9545 6.9527 7.2774
angles: 90.00 90.11 90.00
Space group C2/m (No. 12)
Inequivalent atoms, fractional coordinates:
Ac1 0.2501 0.0000 0.1187 (multiplicity 4)
Ho1 0.0000 0.2498 0.5000 (multiplicity 4)
Pt1 0.2491 0.5000 0.2939 (multiplicity 4)

Theoretical XRD peak list
Compound: CeCoMo
Radiation: Cu Ka
Structure: DFT lattice parameters and positions (GGA-PBE)

Most intense lines, 10 to 90 degrees two-theta, by angle:
| h k l | two_theta | I/Imax |
| --- | --- | --- |
| 0 2 0 | 25.69 | 48 |
| 0 0 4 | 30.89 | 45 |
| 1 1 3 | 31.51 | 45 |
| 2 0 2 | 37.58 | 100 |
| 0 2 4 | 40.60 | 99 |
| 1 3 1 | 43.47 | 63 |
| 2 2 2 | 46.08 | 79 |
| 2 0 6 | 59.42 | 31 |
| 2 2 6 | 65.79 | 29 |
| 4 2 4 | 85.91 | 22 |

abc: 5.2579 6.9356 11.5792
angles: 90.00 90.00 90.00
Space group Fmmm (No. 69)
Inequivalent atoms, fractional coordinates:
Ce1 0.0000 0.1945 0.0000 (multiplicity 8)
Co1 0.0000 0.0000 0.3777 (multiplicity 8)
Mo1 0.2500 0.2500 0.2500 (multiplicity 8)

Theoretical XRD peak list
Compound: KMg2In4
Radiation: Cu Ka
Structure: DFT lattice parameters and positions (GGA-PBE)

Most intense lines, 10 to 90 degrees two-theta, by angle:
| h k l | two_theta | I/Imax |
| --- | --- | --- |
| 1 0 1 | 18.61 | 38 |
| 2 0 0 | 22.16 | 67 |
| 2 1 1 | 29.09 | 52 |
| 0 0 2 | 30.16 | 46 |
| 2 2 0 | 31.54 | 54 |
| 3 0 1 | 36.87 | 100 |
| 2 0 2 | 37.74 | 66 |
| 3 2 1 | 43.44 | 47 |
| 3 0 3 | 58.05 | 25 |
| 5 2 1 | 64.49 | 29 |

abc: 8.0235 8.0235 5.9263
angles: 90.00 90.00 90.00
Space group I4/mmm (No. 139)
Inequivalent atoms, fractional coordinates:
K1 0.0000 0.0000 0.0000 (multiplicity 2)
Mg1 0.0000 0.5000 0.2500 (multiplicity 4)
In1 0.1950 0.1950 0.5000 (multiplicity 8)

Theoretical XRD peak list
Compound: TcSnHF
Radiation: Cu Ka
Structure: DFT lattice parameters and positions (GGA-PBE)

Most intense lines, 10 to 90 degrees two-theta, by angle:
| h k l | two_theta | I/Imax |
| --- | --- | --- |
| 0 0 1 | 13.45 | 100 |
| 0 1 1 | 28.89 | 37 |
| 1 0 1 | 34.14 | 16 |
| 0 1 2 | 37.51 | 28 |
| 1 1 0 | 40.70 | 22 |
| 1 0 2 | 41.81 | 29 |
| 1 1 1 | 43.06 | 30 |
| 0 1 3 | 49.00 | 12 |
| 1 2 2 | 69.07 | 13 |
| 1 1 4 | 71.39 | 9 |

abc: 2.8643 3.5000 6.5821
angles: 90.00 90.00 90.00
Space group Pmm2 (No. 25)
Inequivalent atoms, fractional coordinates:
Tc1 0.0000 0.0000 0.0000 (multiplicity 1)
Sn1 0.5000 0.5000 0.7697 (multiplicity 1)
H1 0.5000 0.0000 0.1733 (multiplicity 1)
F1 0.0000 0.5000 0.5200 (multiplicity 1)

Theoretical XRD peak list
Compound: AcTb4Tm
Radiation: Cu Ka
Structure: DFT lattice parameters and positions (GGA-PBE)

Most intense lines, 10 to 90 degrees two-theta, by angle:
| h k l | two_theta | I/Imax |
| --- | --- | --- |
| 1 3 1 | 30.24 | 100 |
| 0 6 0 | 34.92 | 17 |
| 0 0 2 | 35.03 | 17 |
| 2 0 0 | 35.21 | 17 |
| 0 6 2 | 50.30 | 12 |
| 2 0 2 | 50.47 | 24 |
| 1 9 1 | 59.74 | 14 |
| 1 3 3 | 59.89 | 15 |
| 3 3 1 | 60.13 | 14 |
| 2 6 2 | 62.88 | 13 |

abc: 5.0981 15.4162 5.1227
angles: 90.00 90.00 90.00
Space group Cmmm (No. 65)
Inequivalent atoms, fractional coordinates:
Ac1 0.0000 0.0000 0.0000 (multiplicity 2)
Tb1 0.0000 0.1690 0.5000 (multiplicity 4)
Tb2 0.0000 0.3290 0.0000 (multiplicity 4)
Tm1 0.0000 0.5000 0.5000 (multiplicity 2)

Theoretical XRD peak list
Compound: Tl5Au
Radiation: Cu Ka
Structure: DFT lattice parameters and positions (GGA-PBE)

Most intense lines, 10 to 90 degrees two-theta, by angle:
| h k l | two_theta | I/Imax |
| --- | --- | --- |
| 2 1 1 | 27.44 | 91 |
| 1 1 4 | 32.90 | 77 |
| 2 2 0 | 33.71 | 21 |
| 2 1 3 | 34.07 | 100 |
| 2 0 4 | 37.10 | 58 |
| 3 1 0 | 37.83 | 92 |
| 4 0 4 | 56.95 | 38 |
| 2 1 7 | 57.84 | 29 |
| 3 3 4 | 59.78 | 41 |
| 3 1 8 | 71.56 | 21 |

abc: 7.5204 7.5204 12.6744
angles: 90.00 90.00 90.00
Space group I4/mcm (No. 140)
Inequivalent atoms, fractional coordinates:
Tl1 0.0000 0.0000 0.0000 (multiplicity 4)
Tl2 0.1528 0.3472 0.1403 (multiplicity 16)
Au1 0.0000 0.0000 0.2500 (multiplicity 4)